# 1
Theoretical X-ray powder pattern of TiAl2O5 for Cu Kα (λ = 1.5418 Å), from a PBE-relaxed structure.
Kinematic intensities with the Lorentz-polarization factor, no thermal factor.

Most intense lines, 10 to 90 degrees two-theta, sorted by position:
2θ/deg, I_rel
18.8, 63
26.4, 100
27.9, 29
33.4, 69
41.6, 26
47.5, 39
50.4, 47
53.8, 26

Atomic structure:
```
16
Lattice="1.810 -4.728 0.000 1.810 4.728 0.000 0.000 0.000 9.777" Properties=species:S:1:pos:R:3 pbc="T T T"
Ti 1.810 3.000 7.332
Ti 1.810 -3.000 2.444
Al 1.810 3.397 0.544
Al 1.810 3.397 4.344
Al 1.810 -3.397 5.432
Al 1.810 -3.397 9.233
O 1.810 4.312 6.032
O 1.810 4.312 8.633
O 1.810 2.491 2.444
O 1.810 1.778 5.539
O 1.810 1.778 9.126
O 1.810 -1.778 0.650
O 1.810 -1.778 4.238
O 1.810 -2.491 7.332
O 1.810 -4.312 1.144
O 1.810 -4.312 3.745
```


# 2
Theoretical X-ray powder pattern of CrFeP2 for Cu Kα (λ = 1.5418 Å), from a PBE-relaxed structure.
Kinematic intensities with the Lorentz-polarization factor, no thermal factor.

Most intense lines, 10 to 90 degrees two-theta, sorted by position:
2θ/deg, I_rel
32.9, 68
37.2, 36
46.0, 55
46.2, 51
48.0, 100
49.5, 31
55.5, 31
60.3, 23

Atomic structure:
```
8
Lattice="3.068 0.000 0.000 0.000 5.897 0.000 0.000 0.000 5.273" Properties=species:S:1:pos:R:3 pbc="T T T"
Cr 0.000 0.299 0.000
Cr 0.000 5.598 2.636
Fe 1.534 2.626 0.059
Fe 1.534 3.271 2.696
P 0.000 1.905 1.668
P 0.000 3.992 4.305
P 1.534 1.123 3.658
P 1.534 4.774 1.022
```


# 3
Theoretical X-ray powder pattern of MgCu5 for Cu Kα (λ = 1.5418 Å), from a PBE-relaxed structure.
Kinematic intensities with the Lorentz-polarization factor, no thermal factor.

Most intense lines, 10 to 90 degrees two-theta, sorted by position:
2θ/deg, I_rel
39.6, 26
42.3, 27
45.2, 100
59.3, 14
71.9, 15
79.3, 17
87.1, 17
89.1, 12

Atomic structure:
```
6
Lattice="2.274 1.313 4.276 -2.274 1.313 4.276 0.000 -2.626 4.276" Properties=species:S:1:pos:R:3 pbc="T T T"
Mg 0.000 0.000 0.000
Cu -0.735 -1.274 6.415
Cu 0.000 0.000 4.252
Cu -0.735 1.274 6.415
Cu 0.000 0.000 8.578
Cu 1.471 0.000 6.415
```


# 4
Theoretical X-ray powder pattern of CaGdHg2 for Cu Kα (λ = 1.5418 Å), from a PBE-relaxed structure.
Kinematic intensities with the Lorentz-polarization factor, no thermal factor.

Most intense lines, 10 to 90 degrees two-theta, sorted by position:
2θ/deg, I_rel
20.5, 8
23.7, 13
33.7, 100
48.5, 18
54.6, 6
60.4, 38
71.0, 12
80.9, 17

Atomic structure:
```
4
Lattice="0.000 3.756 3.756 3.756 0.000 3.756 3.756 3.756 0.000" Properties=species:S:1:pos:R:3 pbc="T T T"
Ca 0.000 0.000 0.000
Gd 3.756 3.756 3.756
Hg 1.878 1.878 1.878
Hg 5.634 5.634 5.634
```


Copy entry 1 word for word.
Theoretical X-ray powder pattern of TiAl2O5 for Cu Kα (λ = 1.5418 Å), from a PBE-relaxed structure.
Kinematic intensities with the Lorentz-polarization factor, no thermal factor.

Most intense lines, 10 to 90 degrees two-theta, sorted by position:
2θ/deg, I_rel
18.8, 63
26.4, 100
27.9, 29
33.4, 69
41.6, 26
47.5, 39
50.4, 47
53.8, 26

Atomic structure:
```
16
Lattice="1.810 -4.728 0.000 1.810 4.728 0.000 0.000 0.000 9.777" Properties=species:S:1:pos:R:3 pbc="T T T"
Ti 1.810 3.000 7.332
Ti 1.810 -3.000 2.444
Al 1.810 3.397 0.544
Al 1.810 3.397 4.344
Al 1.810 -3.397 5.432
Al 1.810 -3.397 9.233
O 1.810 4.312 6.032
O 1.810 4.312 8.633
O 1.810 2.491 2.444
O 1.810 1.778 5.539
O 1.810 1.778 9.126
O 1.810 -1.778 0.650
O 1.810 -1.778 4.238
O 1.810 -2.491 7.332
O 1.810 -4.312 1.144
O 1.810 -4.312 3.745
```


Which formula does entry 3 have? MgCu5